For Rb2SmMoO6, a DFT-relaxed cell (PBE+U, Alexandria) gives the calculated powder diffraction line list in this record (Cu Kα (weighted mean of Kα1 and Kα2)).
Intensities are scaled so that the largest is 100.

Peak list (8 most intense, 2θ = 15–90°, low angle first)
Position (°2θ), d [Å], intensity, index
15.51, 5.712, 100, 1 0 0
21.46, 4.140, 36, 1 0 1
27.04, 3.298, 100, 1 1 0
33.70, 2.660, 34, 0 1 2
34.78, 2.580, 27, 0 2 1
40.62, 2.221, 46, 1 1 2
43.73, 2.070, 31, 2 0 2
52.17, 1.753, 27, 1 2 2

Crystal structure
```
data_Rb2SmMoO6
_chemical_formula_sum 'Rb2 Sm1 Mo1 O6'
_cell_length_a 6.5960
_cell_length_b 6.5960
_cell_length_c 6.0101
_cell_angle_alpha 90.00
_cell_angle_beta 90.00
_cell_angle_gamma 120.00
_space_group_name_H-M_alt 'P -3 m 1'
_space_group_IT_number 164
_space_group_name_Hall '-P 3 2"'
loop_
_atom_site_label
_atom_site_type_symbol
_atom_site_fract_x
_atom_site_fract_y
_atom_site_fract_z
_atom_site_occupancy
Rb1 Rb 0.3333 0.6667 0.0933 1
Sm1 Sm 0.0000 0.0000 0.5000 1
Mo1 Mo 0.0000 0.0000 0.0000 1
O1 O 0.1341 0.2682 0.7985 1
```